No. 1
Theoretical powder diffraction line list
Compound: TiZnBi2O6
Radiation: λ = 1.5418 Å (Cu Kα)
Structure: a crystal structure in the Materials Project, relaxed with PBE

Peak list (10 most intense, 10 to 90 degrees two-theta, sorted by position)
2theta, I/Imax, (hkl)
17.8, 60, 0 0 2
23.2, 44, 1 1 0
29.1, 100, 1 1 -2
29.8, 84, 1 1 2
32.9, 29, 2 0 0
33.3, 35, 0 2 0
42.8, 25, 1 1 -4
47.5, 32, 2 2 0
49.9, 21, 0 2 4
57.3, 21, 1 3 2

Structural model:
```
data_TiZnBi2O6
_chemical_formula_sum 'Ti2 Zn2 Bi4 O12'
_cell_length_a 5.4458
_cell_length_b 5.3865
_cell_length_c 9.9623
_cell_angle_alpha 90.00
_cell_angle_beta 91.99
_cell_angle_gamma 90.00
_space_group_name_H-M_alt 'C 1 m 1'
_space_group_IT_number 8
_space_group_name_Hall 'C -2y'
loop_
_atom_site_label
_atom_site_type_symbol
_atom_site_fract_x
_atom_site_fract_y
_atom_site_fract_z
_atom_site_occupancy
Ti1 Ti 0.0000 0.0000 0.0000 1
Zn1 Zn 0.4909 0.5000 0.4853 1
Bi1 Bi 0.0023 0.5000 0.6850 1
Bi2 Bi 0.0711 0.5000 0.2163 1
O1 O 0.2342 0.2581 0.0589 1
O2 O 0.2430 0.2502 0.5657 1
O3 O 0.4557 0.5000 0.2863 1
O4 O 0.4982 0.5000 0.8284 1
```

No. 2
Theoretical powder diffraction line list
Compound: TiZnBi2O6
Radiation: λ = 1.5418 Å (Cu Kα)
Structure: a crystal structure in the Materials Project, relaxed with PBE

Peak list (10 most intense, 10 to 90 degrees two-theta, sorted by position)
2theta, I/Imax, (hkl)
18.0, 32, 0 0 2
23.7, 22, 1 1 0
29.9, 100, 1 1 2
33.8, 35, 2 0 0
38.5, 22, 2 0 2
43.9, 19, 1 1 4
48.6, 20, 2 2 0
50.5, 26, 2 0 4
58.1, 32, 3 1 2
61.5, 12, 1 1 6

Structural model:
```
data_TiZnBi2O6
_chemical_formula_sum 'Ti2 Zn2 Bi4 O12'
_cell_length_a 5.3038
_cell_length_b 5.3038
_cell_length_c 9.8769
_cell_angle_alpha 90.00
_cell_angle_beta 90.00
_cell_angle_gamma 90.00
_space_group_name_H-M_alt 'I 4 m m'
_space_group_IT_number 107
_space_group_name_Hall 'I 4 -2'
loop_
_atom_site_label
_atom_site_type_symbol
_atom_site_fract_x
_atom_site_fract_y
_atom_site_fract_z
_atom_site_occupancy
Ti1 Ti 0.0000 0.0000 0.0000 1
Zn1 Zn 0.0000 0.0000 0.4678 1
Bi1 Bi 0.0000 0.5000 0.1991 1
O1 O 0.0000 0.0000 0.2750 1
O2 O 0.0000 0.0000 0.8189 1
O3 O 0.2491 0.2491 0.0613 1
```